(1)
Simulated X-ray powder pattern
Compound: Ti4Sb2C
Radiation: Cu Kα (weighted mean of Kα1 and Kα2)
Structure: a DFT-relaxed cell (GGA-PBE, Alexandria)
Neutral-atom scattering factors, no anomalous dispersion.

Structural model:
```
data_Ti4Sb2C
_cell_length_a 7.0867
_cell_length_b 10.1847
_cell_length_c 3.3671
_cell_angle_alpha 90.00
_cell_angle_beta 90.00
_cell_angle_gamma 90.00
_symmetry_space_group_name_H-M 'P b a m'
_symmetry_Int_Tables_number 55
loop_
_symmetry_equiv_pos_as_xyz
'x,y,z'
'-x,-y,-z'
'-x,-y,z'
'x,y,-z'
'x+1/2,-y+1/2,-z'
'-x+1/2,y+1/2,z'
'-x+1/2,y+1/2,-z'
'x+1/2,-y+1/2,z'
loop_
_atom_site_label
_atom_site_type_symbol
_atom_site_fract_x
_atom_site_fract_y
_atom_site_fract_z
Ti1 Ti 0.1281 0.1823 0.0000
Ti2 Ti 0.1724 0.9342 0.5000
Sb1 Sb 0.0639 0.6507 0.5000
C1 C 0.0000 0.0000 0.0000
```

Peak list (6 most intense, 10 to 90 degrees two-theta, in order of falling intensity)
| (hkl) | two_theta | I_rel |
| --- | --- | --- |
| 1 3 1 | 39.8 | 1000 |
| 2 1 1 | 37.9 | 984 |
| 0 0 1 | 26.5 | 507 |
| 1 1 1 | 30.7 | 502 |
| 1 3 0 | 29.2 | 457 |
| 3 2 0 | 42.2 | 391 |

***

(2)
Simulated X-ray powder pattern
Compound: Ti5Sb3C
Radiation: Cu Kα (weighted mean of Kα1 and Kα2)
Structure: a DFT-relaxed cell (GGA-PBE, Alexandria)
Neutral-atom scattering factors, no anomalous dispersion.

Structural model:
```
data_Ti5Sb3C
_cell_length_a 8.0074
_cell_length_b 8.0074
_cell_length_c 5.5245
_cell_angle_alpha 90.00
_cell_angle_beta 90.00
_cell_angle_gamma 120.00
_symmetry_space_group_name_H-M 'P 63/m c m'
_symmetry_Int_Tables_number 193
_symmetry_space_group_name_Hall '-P 6c 2'
loop_
_atom_site_label
_atom_site_type_symbol
_atom_site_fract_x
_atom_site_fract_y
_atom_site_fract_z
Ti1 Ti 0.0000 0.2111 0.2500
Ti2 Ti 0.3333 0.6667 0.0000
Sb1 Sb 0.0000 0.4031 0.7500
C1 C 0.0000 0.0000 0.0000
```

Peak list (6 most intense, 10 to 90 degrees two-theta, in order of falling intensity)
| (hkl) | two_theta | I_rel |
| --- | --- | --- |
| 2 1 1 | 38.0 | 1000 |
| 1 1 1 | 27.5 | 555 |
| 1 1 2 | 39.6 | 495 |
| 3 1 1 | 50.2 | 298 |
| 0 0 2 | 32.4 | 295 |
| 3 0 0 | 39.0 | 243 |

***

(3)
Simulated X-ray powder pattern
Compound: Tm4TlSbC
Radiation: Cu Kα (weighted mean of Kα1 and Kα2)
Structure: a DFT-relaxed cell (GGA-PBE, Alexandria)
Neutral-atom scattering factors, no anomalous dispersion.

Structural model:
```
data_Tm4TlSbC
_cell_length_a 4.7304
_cell_length_b 4.7304
_cell_length_c 15.6222
_cell_angle_alpha 90.00
_cell_angle_beta 90.00
_cell_angle_gamma 90.00
_symmetry_space_group_name_H-M 'I 4 m m'
_symmetry_Int_Tables_number 107
_symmetry_space_group_name_Hall 'I 4 -2'
loop_
_atom_site_label
_atom_site_type_symbol
_atom_site_fract_x
_atom_site_fract_y
_atom_site_fract_z
Tm1 Tm 0.0000 0.0000 0.0000
Tm2 Tm 0.0000 0.0000 0.3179
Tm3 Tm 0.0000 0.5000 0.1564
Tl1 Tl 0.0000 0.0000 0.5168
Sb1 Sb 0.0000 0.0000 0.7989
C1 C 0.0000 0.0000 0.1633
```

Peak list (6 most intense, 10 to 90 degrees two-theta, in order of falling intensity)
| (hkl) | two_theta | I_rel |
| --- | --- | --- |
| 1 1 4 | 35.3 | 1000 |
| 1 1 2 | 29.0 | 669 |
| 2 0 0 | 38.0 | 580 |
| 2 0 6 | 52.2 | 376 |
| 0 0 6 | 34.4 | 338 |
| 3 1 4 | 67.0 | 316 |

***

(4)
Simulated X-ray powder pattern
Compound: Tm7Sb3C2
Radiation: Cu Kα (weighted mean of Kα1 and Kα2)
Structure: a DFT-relaxed cell (GGA-PBE, Alexandria)
Neutral-atom scattering factors, no anomalous dispersion.

Structural model:
```
data_Tm7Sb3C2
_cell_length_a 4.7949
_cell_length_b 24.3559
_cell_length_c 4.7195
_cell_angle_alpha 90.00
_cell_angle_beta 90.00
_cell_angle_gamma 90.00
_symmetry_space_group_name_H-M 'C m m m'
_symmetry_Int_Tables_number 65
_symmetry_space_group_name_Hall '-C 2 2'
loop_
_atom_site_label
_atom_site_type_symbol
_atom_site_fract_x
_atom_site_fract_y
_atom_site_fract_z
Tm1 Tm 0.0000 0.0000 0.0000
Tm2 Tm 0.0000 0.0972 0.5000
Tm3 Tm 0.0000 0.1974 0.0000
Tm4 Tm 0.0000 0.4030 0.0000
Sb1 Sb 0.0000 0.3115 0.5000
Sb2 Sb 0.0000 0.5000 0.5000
C1 C 0.0000 0.1000 0.0000
```

Peak list (6 most intense, 10 to 90 degrees two-theta, in order of falling intensity)
| (hkl) | two_theta | I_rel |
| --- | --- | --- |
| 1 5 1 | 32.3 | 1000 |
| 2 0 0 | 37.5 | 182 |
| 0 0 2 | 38.1 | 180 |
| 0 10 0 | 36.9 | 172 |
| 3 5 1 | 64.5 | 139 |
| 1 5 3 | 65.3 | 134 |

***

(5)
Simulated X-ray powder pattern
Compound: Tm4SbC2
Radiation: Cu Kα (weighted mean of Kα1 and Kα2)
Structure: a DFT-relaxed cell (GGA-PBE, Alexandria)
Neutral-atom scattering factors, no anomalous dispersion.

Structural model:
```
data_Tm4SbC2
_cell_length_a 3.7393
_cell_length_b 12.1594
_cell_length_c 12.6431
_cell_angle_alpha 90.00
_cell_angle_beta 90.00
_cell_angle_gamma 90.00
_symmetry_space_group_name_H-M 'C m c m'
_symmetry_Int_Tables_number 63
_symmetry_space_group_name_Hall '-C 2c 2'
loop_
_atom_site_label
_atom_site_type_symbol
_atom_site_fract_x
_atom_site_fract_y
_atom_site_fract_z
Tm1 Tm 0.0000 0.0000 0.0000
Tm2 Tm 0.0000 0.2599 0.1019
Tm3 Tm 0.0000 0.4165 0.7500
Sb1 Sb 0.0000 0.1105 0.7500
C1 C 0.0000 0.3643 0.5586
```

Peak list (6 most intense, 10 to 90 degrees two-theta, in order of falling intensity)
| (hkl) | two_theta | I_rel |
| --- | --- | --- |
| 1 3 1 | 33.4 | 1000 |
| 1 1 3 | 32.9 | 984 |
| 0 2 4 | 31.9 | 759 |
| 0 4 2 | 32.7 | 459 |
| 1 1 2 | 28.7 | 269 |
| 1 3 7 | 61.4 | 268 |

***

(6)
Simulated X-ray powder pattern
Compound: Tm4Sb2C
Radiation: Cu Kα (weighted mean of Kα1 and Kα2)
Structure: a DFT-relaxed cell (GGA-PBE, Alexandria)
Neutral-atom scattering factors, no anomalous dispersion.

Structural model:
```
data_Tm4Sb2C
_cell_length_a 4.7144
_cell_length_b 4.7144
_cell_length_c 15.5154
_cell_angle_alpha 90.00
_cell_angle_beta 90.00
_cell_angle_gamma 90.00
_symmetry_space_group_name_H-M 'I 4/m m m'
_symmetry_Int_Tables_number 139
_symmetry_space_group_name_Hall '-I 4 2'
loop_
_atom_site_label
_atom_site_type_symbol
_atom_site_fract_x
_atom_site_fract_y
_atom_site_fract_z
Tm1 Tm 0.0000 0.0000 0.1563
Tm2 Tm 0.0000 0.5000 0.0000
Sb1 Sb 0.0000 0.0000 0.3571
C1 C 0.0000 0.0000 0.0000
```

Peak list (6 most intense, 10 to 90 degrees two-theta, in order of falling intensity)
| (hkl) | two_theta | I_rel |
| --- | --- | --- |
| 1 1 4 | 35.5 | 1000 |
| 1 1 2 | 29.2 | 709 |
| 2 0 0 | 38.2 | 575 |
| 2 0 6 | 52.5 | 368 |
| 0 0 6 | 34.7 | 316 |
| 3 1 4 | 67.3 | 313 |

***

(7)
Simulated X-ray powder pattern
Compound: Tm6SbC4
Radiation: Cu Kα (weighted mean of Kα1 and Kα2)
Structure: a DFT-relaxed cell (GGA-PBE, Alexandria)
Neutral-atom scattering factors, no anomalous dispersion.

Structural model:
```
data_Tm6SbC4
_cell_length_a 3.6224
_cell_length_b 12.0351
_cell_length_c 18.9041
_cell_angle_alpha 90.00
_cell_angle_beta 90.00
_cell_angle_gamma 90.00
_symmetry_space_group_name_H-M 'C m c m'
_symmetry_Int_Tables_number 63
_symmetry_space_group_name_Hall '-C 2c 2'
loop_
_atom_site_label
_atom_site_type_symbol
_atom_site_fract_x
_atom_site_fract_y
_atom_site_fract_z
Tm1 Tm 0.0000 0.0000 0.0000
Tm2 Tm 0.0000 0.1454 0.2500
Tm3 Tm 0.0000 0.2750 0.5771
Tm4 Tm 0.0000 0.4663 0.1444
Sb1 Sb 0.0000 0.1568 0.7500
C1 C 0.0000 0.0929 0.1263
C2 C 0.0000 0.3636 0.0403
```

Peak list (6 most intense, 10 to 90 degrees two-theta, in order of falling intensity)
| (hkl) | two_theta | I_rel |
| --- | --- | --- |
| 0 2 6 | 32.0 | 1000 |
| 1 3 2 | 34.7 | 439 |
| 0 4 2 | 31.2 | 181 |
| 1 1 3 | 29.4 | 178 |
| 1 3 1 | 33.7 | 164 |
| 1 3 10 | 59.8 | 161 |

***

(8)
Simulated X-ray powder pattern
Compound: Y3SbC
Radiation: Cu Kα (weighted mean of Kα1 and Kα2)
Structure: a DFT-relaxed cell (GGA-PBE, Alexandria)
Neutral-atom scattering factors, no anomalous dispersion.

Structural model:
```
data_Y3SbC
_cell_length_a 3.7240
_cell_length_b 4.7978
_cell_length_c 6.6971
_cell_angle_alpha 90.00
_cell_angle_beta 90.00
_cell_angle_gamma 90.00
_symmetry_space_group_name_H-M 'P m m m'
_symmetry_Int_Tables_number 47
loop_
_symmetry_equiv_pos_as_xyz
'x,y,z'
'-x,-y,-z'
'-x,-y,z'
'x,y,-z'
'x,-y,-z'
'-x,y,z'
'-x,y,-z'
'x,-y,z'
loop_
_atom_site_label
_atom_site_type_symbol
_atom_site_fract_x
_atom_site_fract_y
_atom_site_fract_z
Y1 Y 0.0000 0.0000 0.0000
Y2 Y 0.5000 0.5000 0.2446
Sb1 Sb 0.0000 0.0000 0.5000
C1 C 0.0000 0.5000 0.0000
```

Peak list (6 most intense, 10 to 90 degrees two-theta, in order of falling intensity)
| (hkl) | two_theta | I_rel |
| --- | --- | --- |
| 1 1 0 | 30.4 | 1000 |
| 0 1 2 | 32.6 | 826 |
| 1 0 2 | 36.1 | 697 |
| 1 2 2 | 53.0 | 446 |
| 0 2 0 | 37.5 | 313 |
| 2 1 2 | 60.0 | 278 |

***

(9)
Simulated X-ray powder pattern
Compound: Y6Sb3C
Radiation: Cu Kα (weighted mean of Kα1 and Kα2)
Structure: a DFT-relaxed cell (GGA-PBE, Alexandria)
Neutral-atom scattering factors, no anomalous dispersion.

Structural model:
```
data_Y6Sb3C
_cell_length_a 11.8976
_cell_length_b 14.1909
_cell_length_c 7.1036
_cell_angle_alpha 90.00
_cell_angle_beta 90.00
_cell_angle_gamma 90.00
_symmetry_space_group_name_H-M 'C m c 21'
_symmetry_Int_Tables_number 36
loop_
_symmetry_equiv_pos_as_xyz
'x,y,z'
'-x,-y,z+1/2'
'-x,y,z'
'x,-y,z+1/2'
'x+1/2,y+1/2,z'
'-x+1/2,-y+1/2,z+1/2'
'-x+1/2,y+1/2,z'
'x+1/2,-y+1/2,z+1/2'
loop_
_atom_site_label
_atom_site_type_symbol
_atom_site_fract_x
_atom_site_fract_y
_atom_site_fract_z
Y1 Y 0.0000 0.0447 0.0000
Y2 Y 0.0000 0.2251 0.4579
Y3 Y 0.1522 0.2578 0.0032
Y4 Y 0.1589 0.4657 0.4730
Sb1 Sb 0.0000 0.3898 0.7724
Sb2 Sb 0.1748 0.1008 0.6814
C1 C 0.0000 0.1880 0.1438
```

Peak list (6 most intense, 10 to 90 degrees two-theta, in order of falling intensity)
| (hkl) | two_theta | I_rel |
| --- | --- | --- |
| 3 3 1 | 32.0 | 1000 |
| 3 1 2 | 34.5 | 723 |
| 0 4 2 | 35.8 | 520 |
| 2 2 1 | 23.2 | 517 |
| 1 3 1 | 23.8 | 344 |
| 3 5 0 | 39.0 | 328 |

***

(10)
Simulated X-ray powder pattern
Compound: ZrSb3C
Radiation: Cu Kα (weighted mean of Kα1 and Kα2)
Structure: a DFT-relaxed cell (GGA-PBE, Alexandria)
Neutral-atom scattering factors, no anomalous dispersion.

Structural model:
```
data_ZrSb3C
_cell_length_a 4.7438
_cell_length_b 4.7438
_cell_length_c 4.7438
_cell_angle_alpha 90.00
_cell_angle_beta 90.00
_cell_angle_gamma 90.00
_symmetry_space_group_name_H-M 'P m -3 m'
_symmetry_Int_Tables_number 221
_symmetry_space_group_name_Hall '-P 4 2 3'
loop_
_atom_site_label
_atom_site_type_symbol
_atom_site_fract_x
_atom_site_fract_y
_atom_site_fract_z
Zr1 Zr 0.0000 0.0000 0.0000
Sb1 Sb 0.0000 0.5000 0.5000
C1 C 0.5000 0.5000 0.5000
```

Peak list (6 most intense, 10 to 90 degrees two-theta, in order of falling intensity)
| (hkl) | two_theta | I_rel |
| --- | --- | --- |
| 1 1 1 | 32.7 | 1000 |
| 2 0 0 | 37.9 | 547 |
| 3 1 1 | 65.2 | 398 |
| 2 2 0 | 54.7 | 368 |
| 2 2 2 | 68.5 | 123 |
| 4 0 0 | 81.1 | 58 |

***

(11)
Simulated X-ray powder pattern
Compound: Zr4SbC
Radiation: Cu Kα (weighted mean of Kα1 and Kα2)
Structure: a DFT-relaxed cell (GGA-PBE, Alexandria)
Neutral-atom scattering factors, no anomalous dispersion.

Structural model:
```
data_Zr4SbC
_cell_length_a 6.3428
_cell_length_b 6.2976
_cell_length_c 6.3106
_cell_angle_alpha 90.00
_cell_angle_beta 94.48
_cell_angle_gamma 90.00
_symmetry_space_group_name_H-M 'P 1 21/c 1'
_symmetry_Int_Tables_number 14
loop_
_symmetry_equiv_pos_as_xyz
'x,y,z'
'-x,-y,-z'
'-x,y+1/2,-z+1/2'
'x,-y+1/2,z+1/2'
loop_
_atom_site_label
_atom_site_type_symbol
_atom_site_fract_x
_atom_site_fract_y
_atom_site_fract_z
Zr1 Zr 0.0928 0.1648 0.1831
Zr2 Zr 0.3189 0.6175 0.0961
Sb1 Sb 0.5000 0.0000 0.0000
C1 C 0.0000 0.0000 0.5000
```

Peak list (6 most intense, 10 to 90 degrees two-theta, in order of falling intensity)
| (hkl) | two_theta | I_rel |
| --- | --- | --- |
| 2 1 -1 | 33.9 | 1000 |
| 1 0 2 | 32.8 | 706 |
| 2 1 0 | 31.7 | 653 |
| 0 2 1 | 31.8 | 440 |
| 1 2 1 | 35.3 | 331 |
| 1 1 -3 | 46.8 | 286 |

***

(12)
Simulated X-ray powder pattern
Compound: ScC3
Radiation: Cu Kα (weighted mean of Kα1 and Kα2)
Structure: a DFT-relaxed cell (GGA-PBE, Alexandria)
Neutral-atom scattering factors, no anomalous dispersion.

Structural model:
```
data_ScC3
_cell_length_a 3.5023
_cell_length_b 3.6590
_cell_length_c 3.8175
_cell_angle_alpha 95.86
_cell_angle_beta 114.68
_cell_angle_gamma 100.07
_symmetry_space_group_name_H-M 'P -1'
_symmetry_Int_Tables_number 2
loop_
_symmetry_equiv_pos_as_xyz
'x,y,z'
'-x,-y,-z'
loop_
_atom_site_label
_atom_site_type_symbol
_atom_site_fract_x
_atom_site_fract_y
_atom_site_fract_z
Sc1 Sc 0.0000 0.0000 0.0000
C1 C 0.4822 0.3795 0.8184
C2 C 0.5000 0.5000 0.5000
```

Peak list (6 most intense, 10 to 90 degrees two-theta, in order of falling intensity)
| (hkl) | two_theta | I_rel |
| --- | --- | --- |
| 1 -1 0 | 33.6 | 1000 |
| 0 1 1 | 40.2 | 741 |
| 0 0 1 | 26.2 | 691 |
| 1 0 -1 | 29.2 | 556 |
| 1 1 0 | 43.3 | 397 |
| 0 1 -1 | 32.8 | 255 |

***

Please write out number 10 again, unchanged.
Simulated X-ray powder pattern
Compound: ZrSb3C
Radiation: Cu Kα (weighted mean of Kα1 and Kα2)
Structure: a DFT-relaxed cell (GGA-PBE, Alexandria)
Neutral-atom scattering factors, no anomalous dispersion.

Structural model:
```
data_ZrSb3C
_cell_length_a 4.7438
_cell_length_b 4.7438
_cell_length_c 4.7438
_cell_angle_alpha 90.00
_cell_angle_beta 90.00
_cell_angle_gamma 90.00
_symmetry_space_group_name_H-M 'P m -3 m'
_symmetry_Int_Tables_number 221
_symmetry_space_group_name_Hall '-P 4 2 3'
loop_
_atom_site_label
_atom_site_type_symbol
_atom_site_fract_x
_atom_site_fract_y
_atom_site_fract_z
Zr1 Zr 0.0000 0.0000 0.0000
Sb1 Sb 0.0000 0.5000 0.5000
C1 C 0.5000 0.5000 0.5000
```

Peak list (6 most intense, 10 to 90 degrees two-theta, in order of falling intensity)
| (hkl) | two_theta | I_rel |
| --- | --- | --- |
| 1 1 1 | 32.7 | 1000 |
| 2 0 0 | 37.9 | 547 |
| 3 1 1 | 65.2 | 398 |
| 2 2 0 | 54.7 | 368 |
| 2 2 2 | 68.5 | 123 |
| 4 0 0 | 81.1 | 58 |

***

Please write out number 11 again, unchanged.
Simulated X-ray powder pattern
Compound: Zr4SbC
Radiation: Cu Kα (weighted mean of Kα1 and Kα2)
Structure: a DFT-relaxed cell (GGA-PBE, Alexandria)
Neutral-atom scattering factors, no anomalous dispersion.

Structural model:
```
data_Zr4SbC
_cell_length_a 6.3428
_cell_length_b 6.2976
_cell_length_c 6.3106
_cell_angle_alpha 90.00
_cell_angle_beta 94.48
_cell_angle_gamma 90.00
_symmetry_space_group_name_H-M 'P 1 21/c 1'
_symmetry_Int_Tables_number 14
loop_
_symmetry_equiv_pos_as_xyz
'x,y,z'
'-x,-y,-z'
'-x,y+1/2,-z+1/2'
'x,-y+1/2,z+1/2'
loop_
_atom_site_label
_atom_site_type_symbol
_atom_site_fract_x
_atom_site_fract_y
_atom_site_fract_z
Zr1 Zr 0.0928 0.1648 0.1831
Zr2 Zr 0.3189 0.6175 0.0961
Sb1 Sb 0.5000 0.0000 0.0000
C1 C 0.0000 0.0000 0.5000
```

Peak list (6 most intense, 10 to 90 degrees two-theta, in order of falling intensity)
| (hkl) | two_theta | I_rel |
| --- | --- | --- |
| 2 1 -1 | 33.9 | 1000 |
| 1 0 2 | 32.8 | 706 |
| 2 1 0 | 31.7 | 653 |
| 0 2 1 | 31.8 | 440 |
| 1 2 1 | 35.3 | 331 |
| 1 1 -3 | 46.8 | 286 |